# 1
Theoretical powder diffraction line list
Compound: GdSiNiGe
Radiation: Cu Kα, 1.54184 Å
Structure: a structure optimized by DFT (PBE)

Principal peaks in the range 2θ = 10–90°, low angle first:
2.837 Å, intensity 75; 2.582 Å, intensity 62; 2.558 Å, intensity 100; 2.302 Å, intensity 54; 2.041 Å, intensity 34; 2.030 Å, intensity 33; 1.690 Å, intensity 22; 1.601 Å, intensity 29; 1.523 Å, intensity 29; 1.440 Å, intensity 21

Atomic structure:
```
GdSiNiGe
1.0
2.030 -8.363 0.000
2.030 8.363 0.000
0.000 0.000 4.083
Gd Si Ni Ge
2 2 2 2
direct
0.110 0.890 0.750
0.890 0.110 0.250
0.251 0.749 0.250
0.749 0.251 0.750
0.317 0.683 0.750
0.683 0.317 0.250
0.456 0.544 0.750
0.544 0.456 0.250
```



# 2
Theoretical powder diffraction line list
Compound: GdYNi2Ge
Radiation: Cu Kα, 1.54184 Å
Structure: a structure optimized by DFT (PBE)

Principal peaks in the range 2θ = 10–90°, low angle first:
2.956 Å, intensity 18; 2.629 Å, intensity 100; 2.457 Å, intensity 57; 2.295 Å, intensity 40; 2.210 Å, intensity 46; 1.981 Å, intensity 26; 1.821 Å, intensity 20; 1.551 Å, intensity 14; 1.542 Å, intensity 26; 1.405 Å, intensity 21

Atomic structure:
```
GdYNi2Ge
1.0
3.642 0.000 0.000
0.000 1.981 6.655
0.000 -1.981 6.655
Gd Y Ni Ge
1 1 2 1
direct
0.000 0.000 0.000
0.000 0.257 0.257
0.500 0.434 0.434
0.500 0.824 0.824
0.500 0.630 0.630
```



# 3
Theoretical powder diffraction line list
Compound: Gd2Ge2O7
Radiation: Cu Kα, 1.54184 Å
Structure: a structure optimized by DFT (PBE)

Principal peaks in the range 2θ = 10–90°, low angle first:
3.416 Å, intensity 36; 3.103 Å, intensity 68; 3.074 Å, intensity 100; 3.004 Å, intensity 27; 2.976 Å, intensity 92; 2.916 Å, intensity 35; 2.824 Å, intensity 60; 2.772 Å, intensity 29; 2.708 Å, intensity 39; 1.836 Å, intensity 32

Atomic structure:
```
Gd2Ge2O7
1.0
6.723 0.000 0.000
0.310 6.795 0.000
0.390 2.922 6.205
Gd Ge O
4 4 14
direct
0.000 0.000 0.000
0.060 0.507 0.492
0.303 0.976 0.496
0.579 0.426 0.847
0.114 0.471 0.978
0.472 0.871 0.033
0.562 0.429 0.352
0.806 0.989 0.504
0.021 0.614 0.125
0.255 0.603 0.729
0.259 0.230 0.108
0.288 0.958 0.848
0.337 0.320 0.481
0.367 0.776 0.298
0.569 0.603 0.070
0.618 0.816 0.655
0.663 0.056 0.960
0.665 0.202 0.299
0.716 0.479 0.517
0.924 0.380 0.865
0.977 0.874 0.371
0.980 0.097 0.614
```



# 4
Theoretical powder diffraction line list
Compound: Gd2GeO5
Radiation: Cu Kα, 1.54184 Å
Structure: a structure optimized by DFT (PBE)

Principal peaks in the range 2θ = 10–90°, low angle first:
4.021 Å, intensity 59; 3.654 Å, intensity 61; 3.180 Å, intensity 75; 3.054 Å, intensity 90; 3.002 Å, intensity 34; 2.973 Å, intensity 100; 2.962 Å, intensity 26; 2.651 Å, intensity 84; 2.238 Å, intensity 33; 1.574 Å, intensity 25

Atomic structure:
```
Gd2GeO5
1.0
7.485 -3.406 0.000
7.485 3.406 0.000
-5.526 0.000 8.871
Gd Ge O
8 4 20
direct
0.004 0.724 0.168
0.210 0.722 0.541
0.276 0.996 0.332
0.278 0.790 0.959
0.722 0.210 0.041
0.724 0.004 0.668
0.790 0.278 0.459
0.996 0.276 0.832
0.221 0.410 0.686
0.410 0.221 0.186
0.590 0.779 0.814
0.779 0.590 0.314
0.048 0.346 0.671
0.079 0.882 0.099
0.083 0.689 0.685
0.118 0.921 0.401
0.234 0.362 0.041
0.311 0.917 0.815
0.346 0.048 0.171
0.362 0.234 0.541
0.404 0.432 0.354
0.432 0.404 0.854
0.568 0.596 0.146
0.596 0.568 0.646
0.638 0.766 0.459
0.654 0.952 0.829
0.689 0.083 0.185
0.766 0.638 0.959
0.882 0.079 0.599
0.917 0.311 0.315
0.921 0.118 0.901
0.952 0.654 0.329
```